The following is a theoretical powder diffractogram of LiCu3Ni. It was derived from a DFT-relaxed cell (PBE, Alexandria), using λ = 1.5418 Å (Cu Kα).
No peak broadening, texture or thermal motion is included.

Principal peaks in the range 2θ from 5° to 70°, sorted by position:
d/Å, 2θ (°), I (rel.)
3.536, 25.18, 16
2.061, 43.93, 72
2.004, 45.25, 100
1.999, 45.36, 33
1.460, 63.76, 11
1.455, 64.00, 11

Structure:
Cell lengths 4.1203, 4.1232, 7.1881 Å; angles 73.49, 89.94, 89.81 degrees
Fractional positions:
Li 0.2501 0.1516 0.1967
Li 0.7499 0.8484 0.8033
Cu 0.2501 0.5489 0.4018
Cu 0.2499 0.7502 0.0005
Cu 0.2501 0.9460 0.6071
Cu 0.7499 0.0540 0.3929
Cu 0.7501 0.2498 0.9995
Cu 0.7499 0.4511 0.5982
Ni 0.2500 0.3523 0.7961
Ni 0.7500 0.6477 0.2039